Record 1
Starting from a DFT-relaxed cell (GGA-PBE, Alexandria), the X-ray powder pattern of SrCd6Hg12 was simulated for Cu Kα.
Kinematic intensities with the Lorentz-polarization factor, no thermal factor.

```
SrCd6Hg12
1.0
8.102 0.000 0.000
-3.236 7.829 0.000
-1.288 -4.481 7.732
Sr Cd Hg
1 6 12
Cartesian
0.000 0.000 0.000
-1.972 0.543 5.609
0.756 -1.456 6.068
0.377 4.095 3.492
3.201 -0.747 4.239
2.822 4.804 1.663
5.550 2.805 2.123
-2.539 5.789 2.866
-0.063 3.397 0.509
-2.040 3.492 5.270
0.315 1.032 3.392
-0.165 6.494 0.884
2.680 1.720 1.239
0.898 1.628 6.492
3.743 -3.145 6.848
3.263 2.316 4.340
5.618 -0.144 2.462
3.641 -0.048 7.223
6.117 -2.441 4.866
```

Peak list (8 most intense, 5° ≤ 2θ ≤ 70°, sorted by position)
32.53°, rel. 96, (1 0 -3)
32.67°, rel. 89, (1 -3 2)
33.59°, rel. 100, (-3 1 1)
33.87°, rel. 99, (2 -1 2)
34.56°, rel. 63, (1 2 0)
40.66°, rel. 44, (-2 3 1)
41.20°, rel. 40, (2 2 -3)
53.34°, rel. 23, (4 -4 1)

Record 2
Starting from a DFT-relaxed cell (GGA-PBE, Alexandria), the X-ray powder pattern of Ga2SeS was simulated for Cu Kα.
Kinematic intensities with the Lorentz-polarization factor, no thermal factor.

```
Ga2SeS
1.0
3.721 0.000 0.000
-1.861 3.223 0.000
0.000 0.000 17.218
Ga Se S
4 2 2
Cartesian
0.000 2.148 2.968
0.000 2.148 5.438
1.861 1.074 11.781
1.861 1.074 14.250
0.000 2.148 10.565
1.861 1.074 6.653
0.000 2.148 15.291
1.861 1.074 1.928
```

Peak list (8 most intense, 5° ≤ 2θ ≤ 70°, sorted by position)
5.13°, rel. 46, (0 0 1)
10.27°, rel. 79, (0 0 2)
20.63°, rel. 64, (0 0 4)
27.68°, rel. 76, (1 0 0)
31.85°, rel. 77, (0 1 3)
46.44°, rel. 100, (1 0 7)
48.96°, rel. 61, (1 1 0)
69.77°, rel. 29, (0 2 7)

Record 3
Starting from a DFT-relaxed cell (GGA-PBE, Alexandria), the X-ray powder pattern of BC3 was simulated for Cu Kα.
Kinematic intensities with the Lorentz-polarization factor, no thermal factor.

```
BC3
1.0
2.517 0.000 0.000
0.000 5.218 0.000
0.000 0.000 3.775
B C
2 6
Cartesian
0.000 0.664 0.000
1.258 4.553 1.887
0.000 2.002 0.960
0.000 3.231 3.734
0.000 4.506 0.816
1.258 0.711 2.703
1.258 1.987 1.847
1.258 3.216 2.848
```

Peak list (7 most intense, 5° ≤ 2θ ≤ 70°, sorted by position)
16.99°, rel. 10, (0 1 0)
29.20°, rel. 5, (0 1 1)
39.76°, rel. 1, (1 1 0)
42.10°, rel. 98, (0 2 1)
43.20°, rel. 100, (1 0 1)
51.49°, rel. 1, (0 1 2)
58.42°, rel. 1, (0 3 1)